Record 1
Structure and simulated X-ray powder pattern of Cs3Ho2Br9 (the GGA-PBE geometry in the Materials Project; copper Kα).
Neutral-atom scattering factors, no anomalous dispersion.

Main lines, by intensity (2θ from 10° to 90°):
2θ 28.8, d = 3.100 Å, I = 100, hkl 2 2 3
2θ 37.1, d = 2.421 Å, I = 38, hkl 2 2 6
2θ 44.9, d = 2.018 Å, I = 32, hkl 6 0 0
2θ 12.7, d = 6.990 Å, I = 24, hkl 1 1 0
2θ 22.0, d = 4.036 Å, I = 23, hkl 3 0 0
2θ 48.3, d = 1.884 Å, I = 22, hkl 2 2 9
2θ 54.2, d = 1.691 Å, I = 15, hkl 4 4 3
2θ 26.6, d = 3.356 Å, I = 15, hkl 0 0 6
2θ 53.0, d = 1.729 Å, I = 14, hkl 6 0 6
2θ 73.4, d = 1.290 Å, I = 13, hkl 6 0 12
2θ 29.5, d = 3.025 Å, I = 13, hkl 1 1 6
2θ 73.0, d = 1.296 Å, I = 12, hkl 8 2 3

Structural model:
abc: 13.9797 13.9797 20.1336
angles: 90.00 90.00 120.00
Space group R-3c (No. 167, hexagonal axes)
Unique sites:
Cs1 0.0000 0.3383 0.2500 [18 per cell]
Ho1 0.0000 0.0000 0.1534 [12 per cell]
Br1 0.0000 0.1544 0.7500 [18 per cell]
Br2 0.0054 0.1739 0.4099 [36 per cell]

=====

Record 2
Structure and simulated X-ray powder pattern of CsHoNb6Br18 (the GGA-PBE geometry in the Materials Project; copper Kα).
Neutral-atom scattering factors, no anomalous dispersion.

Main lines, by intensity (2θ from 10° to 90°):
2θ 33.7, d = 2.662 Å, I = 100, hkl 2 1 4
2θ 31.1, d = 2.878 Å, I = 85, hkl 2 1 3
2θ 14.0, d = 6.306 Å, I = 71, hkl 1 0 2
2θ 10.3, d = 8.602 Å, I = 68, hkl 1 0 0
2θ 40.3, d = 2.239 Å, I = 46, hkl 2 1 6
2θ 29.1, d = 3.068 Å, I = 43, hkl 3 -1 2
2θ 36.8, d = 2.444 Å, I = 43, hkl 2 1 5
2θ 34.2, d = 2.624 Å, I = 41, hkl 2 -1 6
2θ 48.8, d = 1.868 Å, I = 39, hkl 5 -1 1
2θ 20.3, d = 4.378 Å, I = 36, hkl 2 -1 2
2θ 48.5, d = 1.877 Å, I = 34, hkl 4 1 0
2θ 48.2, d = 1.888 Å, I = 31, hkl 3 -1 8

Structural model:
abc: 9.9327 9.9327 18.5449
angles: 90.00 90.00 120.00
Space group P-31c (No. 163)
Unique sites:
Cs1 0.3333 0.6667 0.2500 [2 per cell]
Ho1 0.3333 0.6667 0.7500 [2 per cell]
Nb1 0.0388 0.1884 0.9350 [12 per cell]
Br1 0.0467 0.2323 0.1595 [12 per cell]
Br2 0.0862 0.4495 0.8382 [12 per cell]
Br3 0.1394 0.4160 0.4989 [12 per cell]

=====

> Number 1 is which compound?

Cs3Ho2Br9

=====

Repeat the first record exactly.
Structure and simulated X-ray powder pattern of Cs3Ho2Br9 (the GGA-PBE geometry in the Materials Project; copper Kα).
Neutral-atom scattering factors, no anomalous dispersion.

Main lines, by intensity (2θ from 10° to 90°):
2θ 28.8, d = 3.100 Å, I = 100, hkl 2 2 3
2θ 37.1, d = 2.421 Å, I = 38, hkl 2 2 6
2θ 44.9, d = 2.018 Å, I = 32, hkl 6 0 0
2θ 12.7, d = 6.990 Å, I = 24, hkl 1 1 0
2θ 22.0, d = 4.036 Å, I = 23, hkl 3 0 0
2θ 48.3, d = 1.884 Å, I = 22, hkl 2 2 9
2θ 54.2, d = 1.691 Å, I = 15, hkl 4 4 3
2θ 26.6, d = 3.356 Å, I = 15, hkl 0 0 6
2θ 53.0, d = 1.729 Å, I = 14, hkl 6 0 6
2θ 73.4, d = 1.290 Å, I = 13, hkl 6 0 12
2θ 29.5, d = 3.025 Å, I = 13, hkl 1 1 6
2θ 73.0, d = 1.296 Å, I = 12, hkl 8 2 3

Structural model:
abc: 13.9797 13.9797 20.1336
angles: 90.00 90.00 120.00
Space group R-3c (No. 167, hexagonal axes)
Unique sites:
Cs1 0.0000 0.3383 0.2500 [18 per cell]
Ho1 0.0000 0.0000 0.1534 [12 per cell]
Br1 0.0000 0.1544 0.7500 [18 per cell]
Br2 0.0054 0.1739 0.4099 [36 per cell]